# Pm2AgHg6
Calculated powder diffraction line list, a wavelength of 1.5418 Å. Input: a cell relaxed with GGA-PBE.
Intensities are scaled so that the largest is 100.

Atomic structure:
Unit cell a=9.360 b=9.369 c=4.989 alpha=90.00 beta=90.00 gamma=90.00
Element x y z (fractional)
Pm 0.202 0.202 0.000
Pm 0.298 0.702 0.500
Pm 0.702 0.298 0.500
Pm 0.798 0.798 0.000
Ag 0.000 0.000 0.500
Ag 0.500 0.500 0.000
Hg 0.038 0.339 0.500
Hg 0.133 0.868 0.000
Hg 0.161 0.539 0.000
Hg 0.339 0.039 0.500
Hg 0.367 0.368 0.500
Hg 0.462 0.839 0.000
Hg 0.538 0.161 0.000
Hg 0.633 0.632 0.500
Hg 0.661 0.961 0.500
Hg 0.839 0.461 0.000
Hg 0.867 0.132 0.000
Hg 0.962 0.661 0.500

Largest 10 diffraction maxima, by angle, 2θ from 10° to 90°:
hkl 3 0 1, 2θ = 33.87°, rel. 100.0; hkl 2 3 0, 2θ = 34.53°, rel. 15.9; hkl 1 3 1, 2θ = 35.24°, rel. 32.8; hkl 0 0 2, 2θ = 36.00°, rel. 29.5; hkl 3 3 0, 2θ = 40.88°, rel. 21.4; hkl 2 3 2, 2θ = 50.74°, rel. 10.8; hkl 3 3 2, 2θ = 55.59°, rel. 17.9; hkl 3 0 3, 2θ = 63.37°, rel. 16.6; hkl 2 6 1, 2θ = 65.79°, rel. 12.0; hkl 1 6 2, 2θ = 72.09°, rel. 10.3